Entry 1:
This entry pairs a crystal structure of DyY2Au4 with its computed X-ray powder pattern. Radiation: Cu Kα, 1.54184 Å. Structure: a cell relaxed with GGA-PBE.

Main lines, sorted by position (10° ≤ 2θ ≤ 90°):
d = 3.651 Å, 2θ = 24.38°, I 237, (1 1 0); d = 2.582 Å, 2θ = 34.74°, I 633, (2 0 0); d = 2.426 Å, 2θ = 37.06°, I 1000, (1 1 4); d = 1.826 Å, 2θ = 49.95°, I 228, (2 2 0); d = 1.459 Å, 2θ = 63.80°, I 413, (3 1 4); d = 1.374 Å, 2θ = 68.26°, I 142, (2 0 8)

Structural model:
```
data_DyY2Au4
_chemical_formula_sum 'Dy2 Y4 Au8'
_cell_length_a 5.1639
_cell_length_b 5.1639
_cell_length_c 12.9838
_cell_angle_alpha 90.00
_cell_angle_beta 90.00
_cell_angle_gamma 90.00
_symmetry_space_group_name_H-M 'I 4/m m m'
_symmetry_Int_Tables_number 139
_symmetry_space_group_name_Hall '-I 4 2'
loop_
_atom_site_label
_atom_site_fract_x
_atom_site_fract_y
_atom_site_fract_z
_atom_site_occupancy
Dy1 0.0000 0.0000 0.0000 1
Y1 0.0000 0.0000 0.2727 1
Au1 0.0000 0.5000 0.1200 1
```

Entry 2:
This entry pairs a crystal structure of Hf4Tl with its computed X-ray powder pattern. Radiation: Cu Kα, 1.54184 Å. Structure: a cell relaxed with GGA-PBE.

Main lines, sorted by position (10° ≤ 2θ ≤ 90°):
d = 2.595 Å, 2θ = 34.57°, I 1000, (1 0 5); d = 2.298 Å, 2θ = 39.21°, I 172, (0 0 10); d = 2.223 Å, 2θ = 40.58°, I 327, (1 1 0); d = 1.598 Å, 2θ = 57.70°, I 226, (1 1 10); d = 1.377 Å, 2θ = 68.09°, I 130, (1 0 15); d = 1.344 Å, 2θ = 69.98°, I 263, (2 1 5)

Structural model:
```
data_Hf4Tl
_chemical_formula_sum 'Hf8 Tl2'
_cell_length_a 3.1437
_cell_length_b 3.1437
_cell_length_c 22.9767
_cell_angle_alpha 90.00
_cell_angle_beta 90.00
_cell_angle_gamma 90.00
_symmetry_space_group_name_H-M 'I 4/m m m'
_symmetry_Int_Tables_number 139
_symmetry_space_group_name_Hall '-I 4 2'
loop_
_atom_site_label
_atom_site_fract_x
_atom_site_fract_y
_atom_site_fract_z
_atom_site_occupancy
Hf1 0.0000 0.0000 0.1053 1
Hf2 0.0000 0.0000 0.2989 1
Tl1 0.0000 0.0000 0.5000 1
```

Entry 3:
This entry pairs a crystal structure of Ag5PbS4 with its computed X-ray powder pattern. Radiation: Cu Kα, 1.54184 Å. Structure: a cell relaxed with GGA-PBE.

Main lines, sorted by position (10° ≤ 2θ ≤ 90°):
d = 3.172 Å, 2θ = 28.13°, I 916, (2 1 1); d = 3.053 Å, 2θ = 29.25°, I 379, (0 0 2); d = 2.824 Å, 2θ = 31.69°, I 1000, (0 3 1); d = 2.459 Å, 2θ = 36.55°, I 336, (3 0 1); d = 2.168 Å, 2θ = 41.65°, I 529, (2 2 2); d = 2.054 Å, 2θ = 44.10°, I 322, (3 3 0)

Structural model:
```
data_Ag5PbS4
_chemical_formula_sum 'Ag10 Pb2 S8'
_cell_length_a 8.0580
_cell_length_b 9.5545
_cell_length_c 6.1059
_cell_angle_alpha 90.00
_cell_angle_beta 90.00
_cell_angle_gamma 90.00
_symmetry_space_group_name_H-M 'P m m n'
_symmetry_Int_Tables_number 59
loop_
_symmetry_equiv_pos_as_xyz
'x,y,z'
'-x,-y,-z'
'-x+1/2,-y+1/2,z'
'x+1/2,y+1/2,-z'
'x+1/2,-y,-z'
'-x+1/2,y,z'
'-x,y+1/2,-z'
'x,-y+1/2,z'
loop_
_atom_site_label
_atom_site_fract_x
_atom_site_fract_y
_atom_site_fract_z
_atom_site_occupancy
Ag1 0.0694 0.0747 0.2151 1
Ag2 0.2500 0.7500 0.2406 1
Pb1 0.2500 0.2500 0.7689 1
S1 0.0064 0.7500 0.5120 1
S2 0.2500 0.5479 0.9489 1
```